Structure and calculated PXRD pattern of SrIn6Ni3 (a DFT-relaxed cell (GGA-PBE, Alexandria); Cu Ka).
Peak positions follow from Bragg's law for the DFT cell and can differ from measured ones.

Principal peaks in the range 2θ from 10° to 90°, low angle first:
2θ (°), intensity
16.93, 26
27.49, 27
28.19, 27
31.63, 58
31.73, 28
33.24, 67
33.32, 34
37.87, 40
39.95, 100
40.46, 72
41.76, 26
58.77, 24

Structure:
Cell: 6.270 6.281 7.427 Å, 90.13 114.88 119.86°
Fractional coordinates of all 10 atoms:
Sr: 0.000 0.000 0.000
In: 0.224 0.693 0.337
In: 0.322 0.909 0.754
In: 0.347 0.434 0.757
In: 0.644 0.529 0.338
In: 0.810 0.114 0.341
In: 0.849 0.413 0.757
Ni: 0.320 0.159 0.474
Ni: 0.376 0.689 0.059
Ni: 0.697 0.345 0.045

Structure and calculated PXRD pattern of TaInNi6 (a DFT-relaxed cell (GGA-PBE, Alexandria); Cu Ka).
Peak positions follow from Bragg's law for the DFT cell and can differ from measured ones.

Principal peaks in the range 2θ from 10° to 90°, low angle first:
2θ (°), intensity
24.03, 19
34.24, 16
42.27, 100
49.16, 32
49.29, 16
55.45, 6
55.55, 3
61.29, 4
72.01, 5
72.17, 24
87.26, 23
87.45, 11

Structure:
Cell: 6.411 6.411 10.491 Å, 90.00 90.00 109.56°
Fractional coordinates of all 32 atoms:
Ta: 0.000 0.000 0.248
Ta: 0.000 0.000 0.752
Ta: 0.248 0.752 0.500
Ta: 0.752 0.248 0.500
In: 0.251 0.749 0.000
In: 0.500 0.500 0.250
In: 0.500 0.500 0.750
In: 0.749 0.251 0.000
Ni: 0.000 0.000 0.000
Ni: 0.000 0.000 0.500
Ni: 0.119 0.373 0.379
Ni: 0.119 0.373 0.621
Ni: 0.121 0.367 0.129
Ni: 0.121 0.367 0.871
Ni: 0.246 0.754 0.257
Ni: 0.246 0.754 0.743
Ni: 0.367 0.121 0.129
Ni: 0.367 0.121 0.871
Ni: 0.373 0.119 0.379
Ni: 0.373 0.119 0.621
Ni: 0.500 0.500 0.000
Ni: 0.500 0.500 0.500
Ni: 0.627 0.881 0.379
Ni: 0.627 0.881 0.621
Ni: 0.633 0.879 0.129
Ni: 0.633 0.879 0.871
Ni: 0.754 0.246 0.257
Ni: 0.754 0.246 0.743
Ni: 0.879 0.633 0.129
Ni: 0.879 0.633 0.871
Ni: 0.881 0.627 0.379
Ni: 0.881 0.627 0.621

Structure and calculated PXRD pattern of TaInNi2W (a DFT-relaxed cell (GGA-PBE, Alexandria); Cu Ka).
Peak positions follow from Bragg's law for the DFT cell and can differ from measured ones.

Principal peaks in the range 2θ from 10° to 90°, low angle first:
2θ (°), intensity
19.93, 24
26.71, 95
28.34, 84
33.55, 55
35.61, 72
40.51, 100
46.12, 46
49.18, 38
55.02, 81
58.65, 45
70.51, 38
89.30, 21

Structure:
Cell: 4.454 4.454 5.042 Å, 90.00 90.00 90.00°
Fractional coordinates of all 5 atoms:
Ta: 0.000 0.000 0.000
In: 0.500 0.500 0.000
Ni: 0.000 0.500 0.500
Ni: 0.500 0.000 0.500
W: 0.500 0.500 0.500

Structure and calculated PXRD pattern of Tb3In4Ni2 (a DFT-relaxed cell (GGA-PBE, Alexandria); Cu Ka).
Peak positions follow from Bragg's law for the DFT cell and can differ from measured ones.

Principal peaks in the range 2θ from 10° to 90°, low angle first:
2θ (°), intensity
27.91, 18
32.39, 21
32.86, 17
33.15, 100
33.53, 55
38.12, 63
39.48, 42
50.22, 20
51.96, 11
52.52, 14
65.69, 18
67.60, 11

Structure:
Cell: 6.025 6.025 8.959 Å, 113.40 113.40 44.52°
Fractional coordinates of all 9 atoms:
Tb: 0.000 0.000 0.000
Tb: 0.315 0.315 0.371
Tb: 0.685 0.685 0.629
In: 0.022 0.022 0.353
In: 0.272 0.272 0.916
In: 0.728 0.728 0.084
In: 0.978 0.978 0.647
Ni: 0.402 0.402 0.732
Ni: 0.598 0.598 0.268

Structure and calculated PXRD pattern of TbIn3Ni2 (a DFT-relaxed cell (GGA-PBE, Alexandria); Cu Ka).
Peak positions follow from Bragg's law for the DFT cell and can differ from measured ones.

Principal peaks in the range 2θ from 10° to 90°, low angle first:
2θ (°), intensity
29.75, 24
33.12, 15
33.25, 100
34.56, 24
35.23, 13
38.18, 16
40.40, 15
41.64, 14
41.99, 36
44.84, 10
60.61, 10
71.16, 11

Structure:
Cell: 8.875 8.875 10.479 Å, 108.91 108.91 28.06°
Fractional coordinates of all 18 atoms:
Tb: 0.000 0.000 0.000
Tb: 0.158 0.158 0.700
Tb: 0.842 0.842 0.300
In: 0.041 0.041 0.339
In: 0.221 0.221 0.389
In: 0.328 0.328 0.049
In: 0.375 0.375 0.810
In: 0.500 0.500 0.500
In: 0.625 0.625 0.190
In: 0.672 0.672 0.951
In: 0.779 0.779 0.611
In: 0.959 0.959 0.661
Ni: 0.199 0.199 0.126
Ni: 0.367 0.367 0.556
Ni: 0.477 0.477 0.218
Ni: 0.523 0.523 0.782
Ni: 0.633 0.633 0.444
Ni: 0.801 0.801 0.874

Structure and calculated PXRD pattern of TbInNi10 (a DFT-relaxed cell (GGA-PBE, Alexandria); Cu Ka).
Peak positions follow from Bragg's law for the DFT cell and can differ from measured ones.

Principal peaks in the range 2θ from 10° to 90°, low angle first:
2θ (°), intensity
30.94, 46
37.42, 29
43.48, 34
43.91, 100
45.16, 30
49.32, 9
60.04, 15
63.51, 12
64.48, 20
72.01, 21
79.82, 15
82.48, 15

Structure:
Cell: 4.016 4.803 8.330 Å, 90.00 90.00 90.00°
Fractional coordinates of all 12 atoms:
Tb: 0.000 0.000 0.000
In: 0.000 0.500 0.500
Ni: 0.000 0.000 0.341
Ni: 0.000 0.000 0.659
Ni: 0.000 0.500 0.177
Ni: 0.000 0.500 0.823
Ni: 0.500 0.000 0.500
Ni: 0.500 0.250 0.251
Ni: 0.500 0.250 0.749
Ni: 0.500 0.500 0.000
Ni: 0.500 0.750 0.251
Ni: 0.500 0.750 0.749

Structure and calculated PXRD pattern of Tb4In3Ni (a DFT-relaxed cell (GGA-PBE, Alexandria); Cu Ka).
Peak positions follow from Bragg's law for the DFT cell and can differ from measured ones.

Principal peaks in the range 2θ from 10° to 90°, low angle first:
2θ (°), intensity
30.33, 11
33.75, 100
36.14, 49
44.72, 7
52.03, 17
54.13, 9
58.79, 13
63.47, 31
69.12, 10
70.99, 7
86.45, 7
87.82, 8

Structure:
Cell: 3.515 3.515 16.210 Å, 90.00 90.00 90.00°
Fractional coordinates of all 8 atoms:
Tb: 0.000 0.000 0.100
Tb: 0.000 0.000 0.367
Tb: 0.000 0.000 0.633
Tb: 0.000 0.000 0.900
In: 0.500 0.500 0.235
In: 0.500 0.500 0.500
In: 0.500 0.500 0.765
Ni: 0.500 0.500 0.000

Structure and calculated PXRD pattern of Tb12InNi6 (a DFT-relaxed cell (GGA-PBE, Alexandria); Cu Ka).
Peak positions follow from Bragg's law for the DFT cell and can differ from measured ones.

Principal peaks in the range 2θ from 10° to 90°, low angle first:
2θ (°), intensity
28.95, 43
31.78, 39
34.41, 100
36.87, 15
47.54, 20
54.89, 35
56.63, 13
58.32, 35
67.97, 17
82.81, 11
84.25, 16
85.69, 17

Structure:
Cell: 8.446 8.446 8.446 Å, 109.47 109.47 109.47°
Fractional coordinates of all 19 atoms:
Tb: 0.117 0.304 0.813
Tb: 0.187 0.491 0.304
Tb: 0.187 0.883 0.696
Tb: 0.304 0.187 0.491
Tb: 0.304 0.813 0.117
Tb: 0.491 0.304 0.187
Tb: 0.509 0.696 0.813
Tb: 0.696 0.187 0.883
Tb: 0.696 0.813 0.509
Tb: 0.813 0.117 0.304
Tb: 0.813 0.509 0.696
Tb: 0.883 0.696 0.187
In: 0.000 0.000 0.000
Ni: 0.123 0.500 0.623
Ni: 0.377 0.877 0.500
Ni: 0.500 0.377 0.877
Ni: 0.500 0.623 0.123
Ni: 0.623 0.123 0.500
Ni: 0.877 0.500 0.377